The following is a simulated XRD peak list of MnAgHgF6. It was derived from a structure optimized by DFT (PBE+U), using Cu Kα (weighted mean of Kα1 and Kα2).
Peak positions follow from Bragg's law for the DFT cell and can differ from measured ones.

Top 12 peaks for 2θ from 10° to 80°, sorted by position:
19.19°, I 309, hkl 1 0 1
24.48°, I 1000, hkl 1 1 0
29.81°, I 119, hkl 1 1 2
30.73°, I 887, hkl 1 0 3
34.89°, I 206, hkl 2 0 0
40.12°, I 145, hkl 2 1 1
47.17°, I 708, hkl 2 1 3
50.17°, I 189, hkl 2 2 0
56.59°, I 160, hkl 3 1 0
58.10°, I 174, hkl 1 1 6
59.99°, I 208, hkl 3 0 3
71.31°, I 144, hkl 3 2 3

Atomic structure:
```
data_MnAgHgF6
_chemical_formula_sum 'Mn2 Ag2 Hg2 F12'
_cell_length_a 5.143
_cell_length_b 5.143
_cell_length_c 10.588
_cell_angle_alpha 90.00
_cell_angle_beta 90.00
_cell_angle_gamma 90.00
_space_group_name_H-M_alt 'P 42 n m'
_space_group_IT_number 102
loop_
_space_group_symop_operation_xyz
'x,y,z'
'-y+1/2,x+1/2,z+1/2'
'-x,-y,z'
'y+1/2,-x+1/2,z+1/2'
'-x+1/2,y+1/2,z+1/2'
'y,x,z'
'x+1/2,-y+1/2,z+1/2'
'-y,-x,z'
loop_
_atom_site_label
_atom_site_type_symbol
_atom_site_fract_x
_atom_site_fract_y
_atom_site_fract_z
Mn1 Mn 0.000 0.000 0.000
Ag1 Ag 0.000 0.000 0.662
Hg1 Hg 0.000 0.000 0.334
F1 F 0.184 0.184 0.147
F2 F 0.192 0.192 0.858
F3 F 0.240 0.240 0.498
```